[1]
For K2InFe, DFT lattice parameters and positions (PBE) gives the calculated X-ray diffraction stick pattern in this record (Cu Ka).
Kinematic intensities with the Lorentz-polarization factor, no thermal factor.

Atomic structure:
Cell lengths 3.5432, 5.6540, 6.3032 Å; angles 90.00, 90.00, 90.00 degrees
Space group Pmmm (No. 47)
Inequivalent atoms, fractional coordinates:
K  0.0000  0.0000  0.2450 (multiplicity 2)
In  0.5000  0.5000  0.5000 (multiplicity 1)
Fe  0.5000  0.5000  0.0000 (multiplicity 1)

The 10 most intense peaks (2θ from 10° to 80°), in order of rising 2θ:
index, d (Å), I (rel.)
0 1 0, 5.654, 29
1 1 0, 3.002, 100
0 2 0, 2.827, 42
0 1 2, 2.753, 78
1 0 2, 2.355, 49
1 2 2, 1.809, 43
1 3 0, 1.664, 16
0 3 2, 1.618, 14
2 1 2, 1.490, 21
1 1 4, 1.395, 17

=====

[2]
For SmGdB12, DFT lattice parameters and positions (PBE) gives the calculated X-ray diffraction stick pattern in this record (Cu Ka).
Kinematic intensities with the Lorentz-polarization factor, no thermal factor.

Atomic structure:
Cell lengths 5.8200, 5.8200, 4.1152 Å; angles 90.00, 90.00, 90.00 degrees
Space group P4/mmm (No. 123)
Inequivalent atoms, fractional coordinates:
Sm  0.0000  0.0000  0.0000 (multiplicity 1)
Gd  0.5000  0.5000  0.0000 (multiplicity 1)
B  0.0000  0.5000  0.1995 (multiplicity 4)
B  0.1508  0.3498  0.5000 (multiplicity 8)

The 10 most intense peaks (2θ from 10° to 80°), in order of rising 2θ:
index, d (Å), I (rel.)
1 1 0, 4.115, 68
2 0 0, 2.910, 100
2 0 1, 2.376, 42
2 2 0, 2.058, 21
3 1 0, 1.840, 50
3 1 1, 1.680, 28
4 0 0, 1.455, 10
4 0 1, 1.372, 28
4 2 0, 1.301, 20
4 2 1, 1.241, 13

=====

[3]
For Sm3TlHg4, DFT lattice parameters and positions (PBE) gives the calculated X-ray diffraction stick pattern in this record (Cu Ka).
Kinematic intensities with the Lorentz-polarization factor, no thermal factor.

Atomic structure:
Cell lengths 5.2658, 5.2658, 26.8100 Å; angles 90.00, 90.00, 120.00 degrees
Space group R-3m (No. 166, hexagonal axes)
Inequivalent atoms, fractional coordinates:
Sm  0.0000  0.0000  0.0000 (multiplicity 3)
Sm  0.0000  0.0000  0.2414 (multiplicity 6)
Tl  0.0000  0.0000  0.5000 (multiplicity 3)
Hg  0.0000  0.0000  0.1194 (multiplicity 6)
Hg  0.0000  0.0000  0.3676 (multiplicity 6)

The 10 most intense peaks (2θ from 10° to 80°), in order of rising 2θ:
index, d (Å), I (rel.)
1 0 7, 2.933, 6
0 1 8, 2.700, 97
1 1 0, 2.633, 100
2 0 8, 1.885, 34
1 0 16, 1.573, 16
1 2 8, 1.533, 35
3 0 0, 1.520, 19
0 2 16, 1.350, 8
2 2 0, 1.316, 12
2 1 16, 1.201, 13

=====

[4]
For TbPm2ErTm4, DFT lattice parameters and positions (PBE) gives the calculated X-ray diffraction stick pattern in this record (Cu Ka).
Kinematic intensities with the Lorentz-polarization factor, no thermal factor.

Atomic structure:
Cell lengths 5.0169, 5.0305, 9.9359 Å; angles 90.00, 90.00, 90.00 degrees
Space group Pmmm (No. 47)
Inequivalent atoms, fractional coordinates:
Tb  0.0000  0.0000  0.0000 (multiplicity 1)
Pm  0.0000  0.0000  0.5000 (multiplicity 1)
Pm  0.5000  0.5000  0.0000 (multiplicity 1)
Er  0.5000  0.5000  0.5000 (multiplicity 1)
Tm  0.0000  0.5000  0.2508 (multiplicity 2)
Tm  0.5000  0.0000  0.2505 (multiplicity 2)

The 10 most intense peaks (2θ from 10° to 80°), in order of rising 2θ:
index, d (Å), I (rel.)
1 1 2, 2.890, 100
2 0 0, 2.512, 34
0 0 4, 2.484, 17
2 2 0, 1.776, 12
2 0 4, 1.766, 24
1 3 2, 1.515, 14
3 1 2, 1.512, 14
1 1 6, 1.501, 14
2 2 4, 1.445, 12
0 4 0, 1.258, 2

=====

[5]
For Ac2PrNi2, DFT lattice parameters and positions (PBE) gives the calculated X-ray diffraction stick pattern in this record (Cu Ka).
Kinematic intensities with the Lorentz-polarization factor, no thermal factor.

Atomic structure:
Cell lengths 4.5516, 14.9072, 4.1095 Å; angles 90.00, 90.00, 90.00 degrees
Space group Cmmm (No. 65)
Inequivalent atoms, fractional coordinates:
Ac  0.0000  0.1481  0.0000 (multiplicity 4)
Pr  0.0000  0.5000  0.5000 (multiplicity 2)
Ni  0.0000  0.2992  0.5000 (multiplicity 4)

The 10 most intense peaks (2θ from 10° to 80°), in order of rising 2θ:
index, d (Å), I (rel.)
1 3 0, 3.356, 69
1 1 1, 2.988, 100
0 4 1, 2.761, 63
1 3 1, 2.600, 49
0 6 0, 2.485, 20
2 0 0, 2.276, 30
0 0 2, 2.055, 22
2 4 1, 1.756, 33
1 3 2, 1.752, 23
1 7 1, 1.746, 24